The following is a simulated powder X-ray diffraction pattern of CaNiAs2Ru. It was derived from a cell relaxed with GGA-PBE, using Cu Ka.

Atomic structure:
Cell lengths 6.4718, 6.4718, 6.4718 Å; angles 144.42, 144.42, 51.21 degrees
Sites, in units of the cell vectors:
Ca1 0.0000 0.0000 0.0000
Ni1 0.7500 0.2500 0.5000
As1 0.3688 0.3688 0.0000
As2 0.6312 0.6312 0.0000
Ru1 0.2500 0.7500 0.5000

Largest 10 diffraction maxima, in order of rising 2θ, 2θ from 10° to 80°:
d (Å)  intensity
5.836  96
3.746  38
2.774  92
2.522  98
2.019  100
2.010  22
1.978  79
1.610  34
1.597  35
1.398  25


The following is a simulated powder X-ray diffraction pattern of Ca3NpPa2As6. It was derived from a cell relaxed with GGA-PBE, using Cu Ka.

Atomic structure:
Cell lengths 7.2444, 7.2444, 7.2564 Å; angles 99.58, 99.58, 119.99 degrees
Sites, in units of the cell vectors:
Ca1 0.0000 0.0000 0.0000
Ca2 0.3342 0.6658 0.0000
Ca3 0.6658 0.3342 0.0000
Np1 0.5000 0.5000 0.5000
Pa1 0.1668 0.8332 0.5000
Pa2 0.8332 0.1668 0.5000
As1 0.0838 0.4223 0.2670
As2 0.2391 0.2391 0.7333
As3 0.4223 0.0838 0.2670
As4 0.5777 0.9162 0.7330
As5 0.7609 0.7609 0.2667
As6 0.9162 0.5777 0.7330

Largest 10 diffraction maxima, in order of rising 2θ, 2θ from 10° to 80°:
d (Å)  intensity
6.843  51
3.567  28
3.417  14
2.959  100
2.279  15
2.093  74
2.000  15
1.709  26
1.323  33
1.208  19


The following is a simulated powder X-ray diffraction pattern of CaAsO4. It was derived from a cell relaxed with GGA-PBE, using Cu Ka.

Atomic structure:
Cell lengths 6.9071, 6.9071, 6.9071 Å; angles 136.34, 136.34, 63.46 degrees
Sites, in units of the cell vectors:
Ca1 0.3750 0.1250 0.2500
Ca2 0.6250 0.8750 0.7500
As1 0.1250 0.3750 0.7500
As2 0.8750 0.6250 0.2500
O1 0.0657 0.2037 0.3630
O2 0.2027 0.5657 0.3619
O3 0.2963 0.1593 0.8619
O4 0.3407 0.7027 0.1370
O5 0.6593 0.2973 0.8630
O6 0.7037 0.8407 0.1381
O7 0.7973 0.4343 0.6381
O8 0.9343 0.7963 0.6370

Largest 10 diffraction maxima, in order of rising 2θ, 2θ from 10° to 80°:
d (Å)  intensity
4.707  19
3.115  12
3.090  100
2.937  13
2.569  14
1.934  31
1.816  12
1.724  17
1.566  25
1.250  12


The following is a simulated powder X-ray diffraction pattern of CaAsO6. It was derived from a cell relaxed with GGA-PBE, using Cu Ka.

Atomic structure:
Cell lengths 7.6428, 7.6428, 5.9231 Å; angles 103.60, 103.60, 128.62 degrees
Sites, in units of the cell vectors:
Ca1 0.0885 0.9115 0.5000
Ca2 0.9115 0.0885 0.0000
As1 0.3957 0.5814 0.0448
As2 0.5814 0.3957 0.5448
O1 0.0823 0.6964 0.1138
O2 0.2049 0.2697 0.8128
O3 0.2554 0.5653 0.2341
O4 0.2597 0.8224 0.8897
O5 0.2697 0.2049 0.3128
O6 0.3657 0.7406 0.8419
O7 0.5653 0.2554 0.7341
O8 0.6964 0.0823 0.6138
O9 0.7190 0.7854 0.1654
O10 0.7406 0.3657 0.3419
O11 0.7854 0.7190 0.6654
O12 0.8224 0.2597 0.3897

Largest 10 diffraction maxima, in order of rising 2θ, 2θ from 10° to 80°:
d (Å)  intensity
6.887  16
5.161  16
5.079  19
4.033  100
3.515  15
2.985  29
2.922  15
2.832  41
2.783  25
2.540  23


The following is a simulated powder X-ray diffraction pattern of Ca5As3O14. It was derived from a cell relaxed with GGA-PBE, using Cu Ka.

Atomic structure:
Cell lengths 10.0591, 10.0591, 6.9446 Å; angles 90.00, 90.00, 120.00 degrees
Sites, in units of the cell vectors:
Ca1 0.0205 0.7635 0.2500
Ca2 0.2365 0.2570 0.2500
Ca3 0.2570 0.0205 0.7500
Ca4 0.3333 0.6667 0.5031
Ca5 0.3333 0.6667 0.9969
Ca6 0.6667 0.3333 0.0031
Ca7 0.6667 0.3333 0.4969
Ca8 0.7430 0.9795 0.2500
Ca9 0.7635 0.7430 0.7500
Ca10 0.9795 0.2365 0.7500
As1 0.0277 0.4060 0.2500
As2 0.3783 0.9723 0.2500
As3 0.4060 0.3783 0.7500
As4 0.5940 0.6217 0.2500
As5 0.6217 0.0277 0.7500
As6 0.9723 0.5940 0.7500
O1 0.0000 0.0000 0.0962
O2 0.0000 0.0000 0.4038
O3 0.0000 0.0000 0.5962
O4 0.0000 0.0000 0.9038
O5 0.0872 0.3438 0.0543
O6 0.0872 0.3438 0.4457
O7 0.1363 0.6049 0.2500
O8 0.1640 0.6568 0.7500
O9 0.2566 0.9128 0.0543
O10 0.2566 0.9128 0.4457
O11 0.3432 0.5072 0.7500
O12 0.3438 0.2566 0.5543
O13 0.3438 0.2566 0.9457
O14 0.3951 0.5314 0.2500
O15 0.4686 0.8637 0.2500
O16 0.4928 0.8360 0.7500
O17 0.5072 0.1640 0.2500
O18 0.5314 0.1363 0.7500
O19 0.6049 0.4686 0.7500
O20 0.6562 0.7434 0.0543
O21 0.6562 0.7434 0.4457
O22 0.6568 0.4928 0.2500
O23 0.7434 0.0872 0.5543
O24 0.7434 0.0872 0.9457
O25 0.8360 0.3432 0.2500
O26 0.8637 0.3951 0.7500
O27 0.9128 0.6562 0.5543
O28 0.9128 0.6562 0.9457

Largest 10 diffraction maxima, in order of rising 2θ, 2θ from 10° to 80°:
d (Å)  intensity
4.073  44
3.472  31
2.975  100
2.904  57
2.857  49
2.715  22
2.282  23
2.037  24
1.894  31
1.732  22


The following is a simulated powder X-ray diffraction pattern of CaAs3O9. It was derived from a cell relaxed with GGA-PBE, using Cu Ka.

Atomic structure:
Cell lengths 7.3972, 7.3972, 7.7447 Å; angles 90.00, 90.00, 105.11 degrees
Sites, in units of the cell vectors:
Ca1 0.1143 0.1143 0.0000
Ca2 0.8857 0.8857 0.5000
As1 0.2482 0.2482 0.5000
As2 0.3020 0.6528 0.9571
As3 0.3472 0.6980 0.5429
As4 0.6528 0.3020 0.0429
As5 0.6980 0.3472 0.4571
As6 0.7518 0.7518 0.0000
O1 0.1183 0.1732 0.6770
O2 0.1732 0.1183 0.3230
O3 0.1832 0.8161 0.5433
O4 0.1839 0.8168 0.9567
O5 0.1960 0.4434 0.0409
O6 0.2543 0.4814 0.4336
O7 0.3889 0.6111 0.7500
O8 0.4434 0.1960 0.9591
O9 0.4814 0.2543 0.5664
O10 0.5186 0.7457 0.0664
O11 0.5566 0.8040 0.4591
O12 0.6111 0.3889 0.2500
O13 0.7457 0.5186 0.9336
O14 0.8040 0.5566 0.5409
O15 0.8161 0.1832 0.4567
O16 0.8168 0.1839 0.0433
O17 0.8268 0.8817 0.8230
O18 0.8817 0.8268 0.1770

Largest 10 diffraction maxima, in order of rising 2θ, 2θ from 10° to 80°:
d (Å)  intensity
5.250  39
3.872  100
3.590  75
3.571  65
3.257  23
2.720  32
2.633  28
2.625  46
1.930  22
1.748  18


The following is a simulated powder X-ray diffraction pattern of Ca6As3O2. It was derived from a cell relaxed with GGA-PBE, using Cu Ka.

Atomic structure:
Cell lengths 12.2718, 12.2718, 12.2718 Å; angles 158.35, 158.35, 30.80 degrees
Sites, in units of the cell vectors:
Ca1 0.0830 0.5830 0.5000
Ca2 0.1964 0.1964 0.0000
Ca3 0.4170 0.9170 0.5000
Ca4 0.5830 0.0830 0.5000
Ca5 0.8036 0.8036 0.0000
Ca6 0.9170 0.4170 0.5000
As1 0.3242 0.3242 0.0000
As2 0.5000 0.5000 0.0000
As3 0.6758 0.6758 0.0000
O1 0.1006 0.1006 0.0000
O2 0.8994 0.8994 0.0000

Largest 10 diffraction maxima, in order of rising 2θ, 2θ from 10° to 80°:
d (Å)  intensity
4.524  23
3.302  25
3.259  21
3.142  29
2.726  21
2.512  100
2.305  64
1.630  20
1.499  16
1.367  28


- Which formula does entry 3 have?
  CaAsO4